Diffraction record for Li8InPd5. The powder diffractogram is theoretical, not measured: it uses the PBE geometry in Alexandria and Cu Kα.
Intensities are scaled so that the largest is 100.

The 6 most intense peaks (2θ = 5–70°), by angle:
- d 3.129, rel. 68, (1 1 2)
- d 3.024, rel. 100, (2 1 1)
- d 2.465, rel. 16, (1 0 3)
- d 2.332, rel. 44, (3 0 1)
- d 2.317, rel. 18, (3 1 0)
- d 2.045, rel. 31, (2 1 3)

Structure:
```
data_Li8InPd5
_symmetry_space_group_name_H-M 'I -4'
_symmetry_Int_Tables_number 82
_symmetry_space_group_name_Hall 'I -4'
_cell_length_a 7.3276
_cell_length_b 7.3276
_cell_length_c 7.8521
_cell_angle_alpha 90.00
_cell_angle_beta 90.00
_cell_angle_gamma 90.00
loop_
_atom_site_label
_atom_site_type_symbol
_atom_site_fract_x
_atom_site_fract_y
_atom_site_fract_z
_atom_site_occupancy
Li1 Li 0.0714 0.3294 0.0956 1
Li2 Li 0.0950 0.1494 0.7319 1
In1 In 0.0000 0.5000 0.7500 1
Pd1 Pd 0.0000 0.0000 0.0000 1
Pd2 Pd 0.1418 0.2170 0.4220 1
```